SrCa3Mn4O12: theoretical powder diffraction line list (Cu Kα (λ = 1.5418 Å)), based on the PBE+U geometry in the Materials Project.

abc: 7.6376 7.6376 3.8208
angles: 90.00 90.00 90.00
Space group P4/mmm (No. 123)
Inequivalent atoms, fractional coordinates:
1 Sr 0.0000 0.0000 0.0000 [1 per cell]
2 Ca 0.0000 0.5000 0.0000 [2 per cell]
3 Ca 0.5000 0.5000 0.0000 [1 per cell]
4 Mn 0.2519 0.2519 0.5000 [4 per cell]
5 O 0.0000 0.2587 0.5000 [4 per cell]
6 O 0.2512 0.5000 0.5000 [4 per cell]
7 O 0.2548 0.2548 0.0000 [4 per cell]

Main lines, low angle first (15 to 90 degrees two-theta):
Position (°2θ)  d_spacing  I_rel
16.4  5.401  2
23.3  3.819  6
26.1  3.416  4
33.2  2.701  100
35.2  2.546  3
40.9  2.205  9
47.6  1.910  47
59.3  1.559  36
69.6  1.350  25
79.3  1.208  15
84.0  1.152  2
88.7  1.103  8